Structure and simulated powder X-ray diffraction pattern of NaCe2Tl9 (a structure optimized by DFT (GGA-PBE); CuKα).

Structural model:
Lattice parameters (Å, degrees): 4.839 4.839 14.546 90.00 90.00 90.00
Fractional positions:
1 Na 0.000 0.000 0.000
2 Ce 0.000 0.000 0.335
3 Ce 0.000 0.000 0.665
4 Tl 0.000 0.500 0.166
5 Tl 0.000 0.500 0.500
6 Tl 0.000 0.500 0.834
7 Tl 0.500 0.000 0.166
8 Tl 0.500 0.000 0.500
9 Tl 0.500 0.000 0.834
10 Tl 0.500 0.500 0.000
11 Tl 0.500 0.500 0.335
12 Tl 0.500 0.500 0.665

Top 10 peaks for 5° ≤ 2θ ≤ 70°, by angle:
2theta, I_rel, index
6.1, 3.4, 0 0 1
18.3, 5.5, 0 0 3
26.0, 4.9, 1 1 0
32.0, 100.0, 1 1 3
37.1, 50.6, 2 0 0
41.7, 3.0, 2 0 3
53.5, 35.9, 2 2 0
63.7, 14.2, 1 1 9
63.8, 28.4, 3 1 3
66.9, 12.3, 2 2 6